Theoretical XRD peak list of Al2PtW for Cu Kα, 1.54184 Å, from DFT lattice parameters and positions (GGA-PBE).
Lines closer than 0.1° are merged.

The 12 most intense peaks (2θ from 10° to 80°), low angle first:
4.327 Å, intensity 92, (0 0 6); 2.436 Å, intensity 64, (0 1 2); 2.316 Å, intensity 100, (1 0 4); 2.164 Å, intensity 27, (0 0 12); 1.970 Å, intensity 62, (0 1 8); 1.793 Å, intensity 26, (1 0 10); 1.485 Å, intensity 14, (0 1 14); 1.442 Å, intensity 4, (0 0 18); 1.432 Å, intensity 22, (1 1 0); 1.359 Å, intensity 40, (1 0 16); 1.234 Å, intensity 8, (2 0 2); 1.218 Å, intensity 13, (0 2 4)

Cell and atoms:
```
data_Al2PtW
_space_group_name_H-M_alt 'R -3 m'
_space_group_IT_number 166
_space_group_name_Hall '-R 3 2"'
_cell_length_a 2.8632
_cell_length_b 2.8632
_cell_length_c 25.9645
_cell_angle_alpha 90.00
_cell_angle_beta 90.00
_cell_angle_gamma 120.00
loop_
_atom_site_label
_atom_site_fract_x
_atom_site_fract_y
_atom_site_fract_z
Al1 0.0000 0.0000 0.2475
Pt1 0.0000 0.0000 0.5000
W1 0.0000 0.0000 0.0000
```